[1]
This entry pairs a crystal structure of Sr2CaSi with its simulated X-ray powder pattern. Radiation: Cu Kα (λ = 1.5418 Å). Structure: a cell relaxed with PBE.

```
8
Lattice="5.1827 0.0000 0.0000 0.0000 5.1827 0.0000 0.0000 0.0000 9.7716" Properties=species:S:1:pos:R:3 pbc="T T T"
Sr 0.0000 2.5914 2.4429
Sr 0.0000 2.5914 7.3287
Sr 2.5914 0.0000 2.4429
Sr 2.5914 0.0000 7.3287
Ca 0.0000 0.0000 0.0000
Ca 2.5914 2.5914 4.8858
Si 0.0000 0.0000 4.8858
Si 2.5914 2.5914 0.0000
```

Main lines, in order of falling intensity (5 to 70 degrees two-theta):
- 2θ 30.49, I 100
- 2θ 34.61, I 35
- 2θ 59.49, I 28
- 2θ 51.40, I 22
- 2θ 24.29, I 15
- 2θ 36.79, I 15
- 2θ 18.16, I 15
- 2θ 49.76, I 12
- 2θ 62.40, I 12
- 2θ 63.46, I 12

[2]
This entry pairs a crystal structure of CaTbSi3 with its simulated X-ray powder pattern. Radiation: Cu Kα (λ = 1.5418 Å). Structure: a cell relaxed with PBE.

```
10
Lattice="2.1049 -12.5023 0.0000 2.1049 12.5023 0.0000 0.0000 0.0000 3.9556" Properties=species:S:1:pos:R:3 pbc="T T T"
Ca 2.1049 7.4291 2.9667
Ca 2.1049 -7.4291 0.9889
Tb 2.1049 10.7797 0.9889
Tb 2.1049 -10.7797 2.9667
Si 2.1049 4.2860 2.9667
Si 2.1049 2.9291 0.9889
Si 2.1049 0.6023 0.9889
Si 2.1049 -0.6023 2.9667
Si 2.1049 -2.9291 2.9667
Si 2.1049 -4.2860 0.9889
```

Main lines, in order of falling intensity (5 to 70 degrees two-theta):
- 2θ 32.88, I 100
- 2θ 7.07, I 70
- 2θ 35.96, I 25
- 2θ 26.67, I 25
- 2θ 21.38, I 23
- 2θ 42.78, I 18
- 2θ 57.60, I 15
- 2θ 28.56, I 13
- 2θ 42.97, I 13
- 2θ 51.16, I 13

[3]
This entry pairs a crystal structure of Ca3Tb3Si4 with its simulated X-ray powder pattern. Radiation: Cu Kα (λ = 1.5418 Å). Structure: a cell relaxed with PBE.

```
10
Lattice="4.2679 0.0000 0.0000 0.0000 5.3367 5.4181 0.0000 -5.3367 5.4181" Properties=species:S:1:pos:R:3 pbc="T T T"
Ca 0.0000 0.0000 0.0000
Ca 2.1340 -2.6989 6.2040
Ca 2.1340 2.6989 6.2040
Tb 0.0000 -1.8863 3.5162
Tb 0.0000 1.8863 3.5162
Tb 0.0000 0.0000 7.0042
Si 2.1340 0.0000 2.3675
Si 2.1340 0.0000 4.7674
Si 2.1340 -1.2188 8.8563
Si 2.1340 1.2188 8.8563
```

Main lines, in order of falling intensity (5 to 70 degrees two-theta):
- 2θ 33.83, I 100
- 2θ 31.51, I 94
- 2θ 33.57, I 77
- 2θ 26.37, I 46
- 2θ 11.64, I 35
- 2θ 20.81, I 34
- 2θ 26.04, I 29
- 2θ 42.36, I 29
- 2θ 23.40, I 28
- 2θ 37.22, I 24

[4]
This entry pairs a crystal structure of Ca2ThSi6 with its simulated X-ray powder pattern. Radiation: Cu Kα (λ = 1.5418 Å). Structure: a cell relaxed with PBE.

```
9
Lattice="7.1385 0.0000 0.0000 -3.5692 6.1821 0.0000 0.0000 0.0000 4.1966" Properties=species:S:1:pos:R:3 pbc="T T T"
Ca 0.0000 4.1214 0.0000
Ca 3.5692 2.0607 0.0000
Th 0.0000 0.0000 0.0000
Si -1.1881 2.0579 2.0983
Si -2.3811 4.1242 2.0983
Si 2.3763 0.0000 2.0983
Si 1.1881 2.0579 2.0983
Si 4.7622 0.0000 2.0983
Si 2.3811 4.1242 2.0983
```

Main lines, in order of falling intensity (5 to 70 degrees two-theta):
- 2θ 32.94, I 100
- 2θ 14.33, I 72
- 2θ 25.66, I 38
- 2θ 43.94, I 33
- 2θ 24.95, I 31
- 2θ 63.25, I 22
- 2θ 55.99, I 21
- 2θ 44.37, I 19
- 2θ 36.09, I 17
- 2θ 28.88, I 14

[5]
This entry pairs a crystal structure of Ca4TlSi with its simulated X-ray powder pattern. Radiation: Cu Kα (λ = 1.5418 Å). Structure: a cell relaxed with PBE.

```
12
Lattice="4.6125 -6.9954 0.0000 4.6125 6.9954 0.0000 -2.1046 0.0000 5.7323" Properties=species:S:1:pos:R:3 pbc="T T T"
Ca 1.5750 4.5767 5.3849
Ca 1.3254 1.0190 3.7160
Ca 4.4932 4.5767 3.2136
Ca 2.3777 -1.0190 0.8498
Ca 4.7429 1.0190 4.8825
Ca 2.6273 -4.5767 2.5187
Ca 5.7952 -1.0190 2.0163
Ca 5.5455 -4.5767 0.3474
Tl 4.0864 1.8526 1.4331
Tl 3.0341 -1.8526 4.2992
Si 3.0341 6.9645 4.2992
Si 4.0864 -6.9645 1.4331
```

Main lines, in order of falling intensity (5 to 70 degrees two-theta):
- 2θ 32.53, I 100
- 2θ 16.58, I 92
- 2θ 20.03, I 85
- 2θ 12.02, I 74
- 2θ 29.95, I 74
- 2θ 30.16, I 73
- 2θ 24.60, I 52
- 2θ 35.13, I 47
- 2θ 35.64, I 41
- 2θ 25.47, I 40

[6]
This entry pairs a crystal structure of CaUSi with its simulated X-ray powder pattern. Radiation: Cu Kα (λ = 1.5418 Å). Structure: a cell relaxed with PBE.

```
6
Lattice="4.0731 0.0000 0.0000 0.0000 4.0731 0.0000 0.0000 0.0000 8.5360" Properties=species:S:1:pos:R:3 pbc="T T T"
Ca 1.0183 1.0183 1.1894
Ca 3.0548 3.0548 7.3467
U 1.0183 3.0548 4.2680
U 3.0548 1.0183 4.2680
Si 1.0183 1.0183 6.4083
Si 3.0548 3.0548 2.1278
```

Main lines, in order of falling intensity (5 to 70 degrees two-theta):
- 2θ 10.36, I 100
- 2θ 32.82, I 48
- 2θ 37.68, I 35
- 2θ 20.81, I 20
- 2θ 31.44, I 14
- 2θ 44.49, I 14
- 2θ 45.81, I 12
- 2θ 55.49, I 12
- 2θ 44.77, I 12
- 2θ 53.44, I 11

[7]
This entry pairs a crystal structure of CaVSi with its simulated X-ray powder pattern. Radiation: Cu Kα (λ = 1.5418 Å). Structure: a cell relaxed with PBE.

```
6
Lattice="3.9333 0.0000 0.0000 0.0000 3.9333 0.0000 0.0000 0.0000 7.9184" Properties=species:S:1:pos:R:3 pbc="T T T"
Ca 0.9833 0.9833 1.3027
Ca 2.9500 2.9500 6.6157
V 0.9833 2.9500 3.9592
V 2.9500 0.9833 3.9592
Si 0.9833 0.9833 5.5504
Si 2.9500 2.9500 2.3681
```

Main lines, in order of falling intensity (5 to 70 degrees two-theta):
- 2θ 39.60, I 100
- 2θ 11.17, I 100
- 2θ 34.17, I 70
- 2θ 32.08, I 61
- 2θ 46.16, I 52
- 2θ 33.96, I 22
- 2θ 57.31, I 20
- 2θ 51.69, I 19
- 2θ 67.33, I 15
- 2θ 58.53, I 15

[8]
This entry pairs a crystal structure of Ca2YSi with its simulated X-ray powder pattern. Radiation: Cu Kα (λ = 1.5418 Å). Structure: a cell relaxed with PBE.

```
8
Lattice="3.6293 0.0000 0.0000 0.0000 4.6253 0.0000 0.0000 0.0000 15.2804" Properties=species:S:1:pos:R:3 pbc="T T T"
Ca 0.0000 0.0000 2.5737
Ca 0.0000 0.0000 12.7067
Ca 1.8146 2.3126 5.0665
Ca 1.8146 2.3126 10.2139
Y 0.0000 2.3126 0.0000
Y 1.8146 0.0000 7.6402
Si 0.0000 2.3126 7.6402
Si 1.8146 0.0000 0.0000
```

Main lines, in order of falling intensity (5 to 70 degrees two-theta):
- 2θ 33.51, I 100
- 2θ 26.02, I 79
- 2θ 11.58, I 70
- 2θ 39.40, I 59
- 2θ 25.22, I 43
- 2θ 35.24, I 34
- 2θ 38.94, I 25
- 2θ 58.10, I 20
- 2θ 53.52, I 19
- 2θ 23.29, I 16

[9]
This entry pairs a crystal structure of CaYSi3 with its simulated X-ray powder pattern. Radiation: Cu Kα (λ = 1.5418 Å). Structure: a cell relaxed with PBE.

```
10
Lattice="2.1048 -12.5154 0.0000 2.1048 12.5154 0.0000 0.0000 0.0000 3.9477" Properties=species:S:1:pos:R:3 pbc="T T T"
Ca 2.1048 7.4366 2.9607
Ca 2.1048 -7.4366 0.9869
Y 2.1048 10.7914 0.9869
Y 2.1048 -10.7914 2.9607
Si 2.1048 4.2955 2.9607
Si 2.1048 2.9329 0.9869
Si 2.1048 0.6051 0.9869
Si 2.1048 -0.6051 2.9607
Si 2.1048 -2.9329 2.9607
Si 2.1048 -4.2955 0.9869
```

Main lines, in order of falling intensity (5 to 70 degrees two-theta):
- 2θ 32.89, I 100
- 2θ 7.06, I 33
- 2θ 35.98, I 21
- 2θ 42.78, I 19
- 2θ 26.70, I 15
- 2θ 42.97, I 15
- 2θ 57.66, I 14
- 2θ 45.98, I 12
- 2θ 62.24, I 12
- 2θ 28.53, I 10

[10]
This entry pairs a crystal structure of Ca2YSi with its simulated X-ray powder pattern. Radiation: Cu Kα (λ = 1.5418 Å). Structure: a cell relaxed with PBE.

```
4
Lattice="3.5525 0.0000 0.0000 0.0000 3.5525 0.0000 0.0000 0.0000 9.6886" Properties=species:S:1:pos:R:3 pbc="T T T"
Ca 0.0000 0.0000 0.0000
Ca 1.7762 1.7762 3.2113
Y 1.7762 1.7762 6.7011
Si 0.0000 0.0000 5.0597
```

Main lines, in order of falling intensity (5 to 70 degrees two-theta):
- 2θ 31.22, I 100
- 2θ 9.13, I 72
- 2θ 35.74, I 55
- 2θ 26.73, I 37
- 2θ 37.64, I 32
- 2θ 27.62, I 27
- 2θ 61.42, I 26
- 2θ 45.76, I 26
- 2θ 51.45, I 18
- 2θ 45.31, I 14

[11]
This entry pairs a crystal structure of CaZnSi2 with its simulated X-ray powder pattern. Radiation: Cu Kα (λ = 1.5418 Å). Structure: a cell relaxed with PBE.

```
32
Lattice="13.7016 0.0000 0.0000 0.0000 4.1977 0.0000 0.0000 0.0000 10.6852" Properties=species:S:1:pos:R:3 pbc="T T T"
Ca 0.7402 1.0494 2.6586
Ca 2.7183 3.1483 10.4366
Ca 4.1325 1.0494 5.0940
Ca 6.1106 3.1483 8.0012
Ca 7.5910 1.0494 2.6839
Ca 9.5691 3.1483 5.5912
Ca 10.9833 1.0494 0.2486
Ca 12.9613 3.1483 8.0265
Zn 0.7537 1.0494 5.8958
Zn 2.8571 3.1483 7.2695
Zn 3.9937 1.0494 1.9270
Zn 6.0971 3.1483 0.5532
Zn 7.6045 1.0494 10.1320
Zn 9.7079 3.1483 8.7582
Zn 10.8445 1.0494 3.4156
Zn 12.9479 3.1483 4.7894
Si 0.5126 1.0494 10.3778
Si 1.5030 1.0494 8.2724
Si 1.8228 3.1483 4.9821
Si 2.9145 3.1483 2.8671
Si 3.9363 1.0494 8.2097
Si 5.0280 1.0494 10.3247
Si 5.3478 3.1483 2.9299
Si 6.3382 3.1483 5.0352
Si 7.3634 1.0494 5.6500
Si 8.3538 1.0494 7.7553
Si 8.6736 3.1483 0.3605
Si 9.7653 3.1483 2.4755
Si 10.7871 1.0494 7.8181
Si 11.8788 1.0494 5.7031
Si 12.1985 3.1483 2.4127
Si 13.1889 3.1483 0.3074
```

Main lines, in order of falling intensity (5 to 70 degrees two-theta):
- 2θ 33.77, I 100
- 2θ 10.50, I 39
- 2θ 43.10, I 37
- 2θ 33.64, I 32
- 2θ 35.56, I 26
- 2θ 33.54, I 23
- 2θ 48.32, I 20
- 2θ 48.47, I 17
- 2θ 41.58, I 16
- 2θ 21.09, I 15

[12]
This entry pairs a crystal structure of CaZrSi with its simulated X-ray powder pattern. Radiation: Cu Kα (λ = 1.5418 Å). Structure: a cell relaxed with PBE.

```
6
Lattice="3.6947 0.0000 0.0000 0.0000 3.8415 0.0000 0.0000 0.0000 11.2379" Properties=species:S:1:pos:R:3 pbc="T T T"
Ca 0.9237 0.9604 1.5255
Ca 2.7710 2.8811 9.7124
Zr 0.9237 2.8811 4.5602
Zr 2.7710 0.9604 6.6777
Si 0.9237 2.8811 7.2804
Si 2.7710 0.9604 3.9575
```

Main lines, in order of falling intensity (5 to 70 degrees two-theta):
- 2θ 7.87, I 100
- 2θ 34.62, I 42
- 2θ 28.14, I 25
- 2θ 34.08, I 16
- 2θ 31.85, I 15
- 2θ 25.38, I 12
- 2θ 41.61, I 11
- 2θ 53.34, I 10
- 2θ 33.66, I 10
- 2θ 40.33, I 8

- Number 8 is which compound?
  Ca2YSi